Ca2CrReN5: computed PXRD pattern (Cu Kα (λ = 1.5418 Å)), based on a structure optimized by DFT (GGA-PBE).

Principal peaks in the range 2θ = 15–90°, by angle:
Position (°2θ)	Rel. int.
15.29	33
17.44	50
21.55	54
29.24	21
30.21	37
30.87	23
34.12	19
35.28	55
39.41	100
46.67	26

Atomic structure:
```
Ca2CrReN5
1.0
1.5848 -7.0496 0.0000
1.5848 7.0496 0.0000
0.0000 0.0000 10.1681
Ca Cr Re N
4 2 2 10
Direct
0.1149 0.8851 0.5000 Ca
0.1346 0.8654 0.1312 Ca
0.8654 0.1346 0.6312 Ca
0.8851 0.1149 0.0000 Ca
0.4438 0.5562 0.2566 Cr
0.5562 0.4438 0.7566 Cr
0.2151 0.7849 0.8473 Re
0.7849 0.2151 0.3473 Re
0.0442 0.9558 0.8432 N
0.2963 0.7037 0.4735 N
0.3192 0.6808 0.2104 N
0.3414 0.6586 0.8252 N
0.4990 0.5010 0.1120 N
0.5010 0.4990 0.6120 N
0.6586 0.3414 0.3252 N
0.6808 0.3192 0.7104 N
0.7037 0.2963 0.9735 N
0.9558 0.0442 0.3432 N
```